Calculated powder X-ray diffraction pattern of Mg2Cd3Sb3 for Cu Kα, from a GGA-PBE-relaxed structure.

Top 10 peaks for 5° ≤ 2θ ≤ 70°, low angle first:
d [Å]	I/Imax
7.416	21.4
4.746	100.0
4.175	17.7
3.015	16.0
2.547	33.2
2.505	35.6
2.292	46.9
2.272	45.6
2.240	16.6
1.786	22.4

a = 7.8285 Å, b = 7.8285 Å, c = 15.2810 Å
α = 90.66°, β = 90.66°, γ = 37.32°
Atoms (fractional coordinates):
Mg 0.0000 0.0000 0.0000
Mg 0.0103 0.0103 0.3481
Mg 0.4844 0.4844 0.5096
Mg 0.6819 0.6819 0.8373
Cd 0.4665 0.4665 0.8514
Cd 0.5043 0.5043 0.1819
Cd 0.7001 0.7001 0.5323
Cd 0.7893 0.7893 0.0233
Cd 0.7927 0.7927 0.3277
Cd 0.9802 0.9802 0.6778
Sb 0.5837 0.5837 0.6807
Sb 0.5964 0.5964 0.0086
Sb 0.6041 0.6041 0.3535
Sb 0.8719 0.8719 0.8451
Sb 0.8892 0.8892 0.5008
Sb 0.9003 0.9003 0.1760